This entry pairs a crystal structure of CsHfAgTeSe2 with its simulated powder X-ray diffraction pattern. Radiation: Cu Kα (weighted mean of Kα1 and Kα2). Structure: a cell relaxed with GGA-PBE.
No peak broadening, texture or thermal motion is included.

Principal peaks in the range 10° ≤ 2θ ≤ 90°, sorted by position:
2θ/deg  intensity
10.8  100
27.4  24
29.2  100
30.5  42
33.7  61
34.4  27
41.3  29
44.2  33

Cell and atoms:
```
data_CsHfAgTeSe2
_cell_length_a 9.1715
_cell_length_b 4.0979
_cell_length_c 10.5101
_cell_angle_alpha 90.00
_cell_angle_beta 113.74
_cell_angle_gamma 90.00
_space_group_name_H-M_alt 'P 1 21/m 1'
_space_group_IT_number 11
loop_
_space_group_symop_operation_xyz
'x,y,z'
'-x,-y,-z'
'-x,y+1/2,-z'
'x,-y+1/2,z'
loop_
_atom_site_label
_atom_site_type_symbol
_atom_site_fract_x
_atom_site_fract_y
_atom_site_fract_z
Cs1 Cs 0.2269 0.2500 0.2060
Hf1 Hf 0.1832 0.7500 0.6565
Ag1 Ag 0.4258 0.2500 0.8928
Te1 Te 0.3926 0.2500 0.6196
Se1 Se 0.0231 0.7500 0.3704
Se2 Se 0.2480 0.7500 0.9237
```